1.
Starting from a PBE-relaxed structure, the XRD peak list of RbTmWN3 was simulated for copper Kα.
Lines closer than 0.1° are merged.

Cell and atoms:
Unit cell a=6.972 b=6.972 c=8.251 alpha=103.30 beta=103.30 gamma=32.47
Sites, in units of the cell vectors:
Rb 0.146 0.146 0.067
Rb 0.854 0.854 0.933
Tm 0.162 0.162 0.582
Tm 0.838 0.838 0.418
W 0.491 0.491 0.666
W 0.509 0.509 0.334
N 0.014 0.014 0.353
N 0.336 0.336 0.628
N 0.364 0.364 0.235
N 0.636 0.636 0.765
N 0.664 0.664 0.372
N 0.986 0.986 0.647

Main lines, in order of falling intensity (2θ from 10° to 90°):
2theta, I_rel
11.05, 100
30.85, 89
31.61, 77
31.03, 48
28.85, 32
41.70, 27
46.59, 21
40.14, 19
54.58, 18
13.63, 16


2.
Starting from a PBE-relaxed structure, the XRD peak list of Rb2U2N5 was simulated for copper Kα.
Lines closer than 0.1° are merged.

Cell and atoms:
Unit cell a=7.881 b=7.881 c=6.588 alpha=90.12 beta=90.12 gamma=52.90
Sites, in units of the cell vectors:
Rb 0.210 0.731 0.000
Rb 0.269 0.790 0.500
Rb 0.731 0.210 0.500
Rb 0.790 0.269 0.000
U 0.235 0.303 0.373
U 0.303 0.235 0.873
U 0.697 0.765 0.127
U 0.765 0.697 0.627
N 0.000 0.500 0.000
N 0.063 0.298 0.588
N 0.298 0.063 0.088
N 0.335 0.401 0.688
N 0.401 0.335 0.188
N 0.500 0.000 0.500
N 0.599 0.665 0.812
N 0.665 0.599 0.312
N 0.702 0.937 0.912
N 0.937 0.702 0.412

Main lines, in order of falling intensity (2θ from 10° to 90°):
2theta, I_rel
12.55, 100
28.40, 95
30.64, 86
35.65, 62
25.24, 55
44.19, 29
48.13, 20
57.45, 16
26.53, 16
62.27, 16


3.
Starting from a PBE-relaxed structure, the XRD peak list of Rb3VN8 was simulated for copper Kα.
Lines closer than 0.1° are merged.

Cell and atoms:
Unit cell a=6.822 b=6.822 c=6.822 alpha=114.83 beta=114.83 gamma=99.22
Sites, in units of the cell vectors:
Rb 0.000 0.000 0.000
Rb 0.250 0.750 0.500
Rb 0.750 0.250 0.500
V 0.500 0.500 0.000
N 0.204 0.204 0.713
N 0.272 0.272 0.603
N 0.331 0.728 0.000
N 0.491 0.491 0.287
N 0.509 0.796 0.000
N 0.669 0.669 0.397
N 0.728 0.331 0.000
N 0.796 0.509 0.000

Main lines, in order of falling intensity (2θ from 10° to 90°):
2theta, I_rel
26.47, 100
44.03, 47
24.23, 40
34.53, 30
48.04, 16
54.51, 14
68.49, 14
57.12, 12
55.97, 11
71.56, 10


4.
Starting from a PBE-relaxed structure, the XRD peak list of ReN was simulated for copper Kα.
Lines closer than 0.1° are merged.

Cell and atoms:
Unit cell a=2.820 b=9.913 c=5.236 alpha=90.00 beta=90.00 gamma=90.00
Sites, in units of the cell vectors:
Re 0.250 0.110 0.035
Re 0.250 0.390 0.035
Re 0.250 0.750 0.388
Re 0.750 0.250 0.612
Re 0.750 0.610 0.965
Re 0.750 0.890 0.965
N 0.250 0.250 0.332
N 0.250 0.565 0.248
N 0.250 0.935 0.248
N 0.750 0.065 0.752
N 0.750 0.435 0.752
N 0.750 0.750 0.668

Main lines, in order of falling intensity (2θ from 10° to 90°):
2theta, I_rel
37.34, 100
40.26, 72
42.13, 60
16.93, 59
24.73, 50
35.46, 32
55.37, 30
36.19, 28
34.25, 26
77.62, 22


5.
Starting from a PBE-relaxed structure, the XRD peak list of ReSe2N2 was simulated for copper Kα.
Lines closer than 0.1° are merged.

Cell and atoms:
Unit cell a=3.825 b=3.825 c=5.705 alpha=90.00 beta=90.00 gamma=90.00
Sites, in units of the cell vectors:
Re 0.000 0.000 0.000
Se 0.000 0.000 0.500
Se 0.500 0.500 0.500
N 0.000 0.500 0.000
N 0.500 0.000 0.000

Main lines, in order of falling intensity (2θ from 10° to 90°):
2theta, I_rel
28.09, 100
33.12, 97
23.26, 80
46.26, 78
31.36, 78
58.07, 51
47.55, 47
39.41, 41
56.14, 30
87.63, 27


6.
Starting from a PBE-relaxed structure, the XRD peak list of SrReSeN2 was simulated for copper Kα.
Lines closer than 0.1° are merged.

Cell and atoms:
Unit cell a=4.000 b=4.000 c=5.386 alpha=90.00 beta=90.00 gamma=90.00
Sites, in units of the cell vectors:
Sr 0.000 0.000 0.000
Re 0.500 0.500 0.500
Se 0.500 0.500 0.000
N 0.000 0.500 0.500
N 0.500 0.000 0.500

Main lines, in order of falling intensity (2θ from 10° to 90°):
2theta, I_rel
31.63, 100
27.78, 98
22.22, 71
46.57, 70
33.27, 60
45.34, 50
57.39, 49
54.01, 32
40.38, 30
84.65, 26


7.
Starting from a PBE-relaxed structure, the XRD peak list of SmRe2N8 was simulated for copper Kα.
Lines closer than 0.1° are merged.

Cell and atoms:
Unit cell a=7.256 b=7.256 c=7.256 alpha=130.52 beta=130.52 gamma=72.57
Sites, in units of the cell vectors:
Sm 0.000 0.000 0.000
Re 0.250 0.750 0.500
Re 0.750 0.250 0.500
N 0.092 0.839 0.253
N 0.161 0.414 0.253
N 0.161 0.908 0.747
N 0.414 0.161 0.253
N 0.586 0.839 0.747
N 0.839 0.092 0.253
N 0.839 0.586 0.747
N 0.908 0.161 0.747

Main lines, in order of falling intensity (2θ from 10° to 90°):
2theta, I_rel
25.74, 100
16.45, 36
29.41, 36
49.99, 33
42.94, 26
15.15, 24
52.90, 17
51.49, 17
20.68, 15
68.60, 14


8.
Starting from a PBE-relaxed structure, the XRD peak list of SmRe3N8 was simulated for copper Kα.
Lines closer than 0.1° are merged.

Cell and atoms:
Unit cell a=5.724 b=5.724 c=6.447 alpha=90.00 beta=90.00 gamma=120.00
Sites, in units of the cell vectors:
Sm 0.000 0.000 0.000
Re 0.000 0.000 0.500
Re 0.333 0.667 0.775
Re 0.667 0.333 0.225
N 0.156 0.313 0.687
N 0.156 0.844 0.687
N 0.313 0.156 0.313
N 0.333 0.667 0.046
N 0.667 0.333 0.954
N 0.687 0.844 0.687
N 0.844 0.156 0.313
N 0.844 0.687 0.313

Main lines, in order of falling intensity (2θ from 10° to 90°):
2theta, I_rel
22.63, 100
31.25, 96
33.15, 79
46.20, 39
56.83, 37
50.74, 24
55.62, 19
17.89, 19
66.59, 19
75.12, 16